Diffraction record for Ni2SnTe. The powder XRD pattern is calculated, not measured: it uses the PBE geometry in Alexandria and Cu Kα X-rays.

Top 10 peaks for 5° ≤ 2θ ≤ 70°, sorted by position:
Position (°2θ)	I (rel.)
31.08	100.0
34.80	3.6
43.75	55.2
45.20	18.3
45.33	36.4
55.89	12.5
56.04	6.3
60.08	15.5
64.75	11.0
64.88	5.3

Cell and atoms:
```
16
Lattice="8.024 0.000 0.000 0.000 6.924 0.000 0.000 0.000 5.156" Properties=species:S:1:pos:R:3 pbc="T T T"
Ni 0.978 1.731 0.000
Ni 0.978 1.731 2.578
Ni 2.965 5.193 0.000
Ni 2.965 5.193 2.578
Ni 5.059 1.731 0.000
Ni 5.059 1.731 2.578
Ni 7.046 5.193 0.000
Ni 7.046 5.193 2.578
Sn 3.048 0.615 1.289
Sn 3.048 2.847 3.867
Sn 4.976 4.077 1.289
Sn 4.976 6.309 3.867
Te 1.054 3.993 1.289
Te 1.054 6.393 3.867
Te 6.970 0.531 1.289
Te 6.970 2.931 3.867
```

---

Diffraction record for YUPdO6. The powder XRD pattern is calculated, not measured: it uses the PBE geometry in Alexandria and Cu Kα X-rays.

Top 10 peaks for 5° ≤ 2θ ≤ 70°, sorted by position:
Position (°2θ)	I (rel.)
17.53	40.7
20.97	24.7
25.98	100.0
33.26	55.4
35.48	11.9
37.84	35.7
42.68	26.1
49.42	56.8
55.15	24.8
59.43	19.0

Cell and atoms:
```
18
Lattice="5.388 0.000 0.000 -2.694 4.666 0.000 0.000 0.000 10.119" Properties=species:S:1:pos:R:3 pbc="T T T"
Y 0.000 0.000 0.000
Y 0.000 0.000 5.060
U 0.000 3.111 2.530
U 2.694 1.555 7.590
Pd 0.000 3.111 7.590
Pd 2.694 1.555 2.530
O -0.910 1.619 1.365
O -1.747 3.068 3.695
O 0.910 1.619 3.695
O -0.837 4.645 1.365
O 1.857 0.021 6.425
O 0.947 1.598 8.754
O 1.747 3.068 1.365
O 0.837 4.645 3.695
O 3.531 0.021 8.754
O 1.784 3.047 6.425
O 4.441 1.598 6.425
O 3.604 3.047 8.754
```

---

Diffraction record for Pa2Zn16Cr. The powder XRD pattern is calculated, not measured: it uses the PBE geometry in Alexandria and Cu Kα X-rays.

Top 10 peaks for 5° ≤ 2θ ≤ 70°, sorted by position:
Position (°2θ)	I (rel.)
28.44	47.2
34.68	41.7
35.73	29.6
40.26	60.6
40.46	100.0
41.04	31.2
41.18	16.9
41.38	21.5
58.40	20.0
58.85	19.2

Cell and atoms:
```
19
Lattice="4.480 2.587 4.398 -4.480 2.587 4.398 0.000 -5.173 4.398" Properties=species:S:1:pos:R:3 pbc="T T T"
Pa 0.000 0.000 0.000
Pa 0.000 0.000 4.302
Zn 0.000 -2.481 2.332
Zn -2.149 1.241 2.332
Zn -2.240 -1.293 6.492
Zn 0.000 -2.610 6.247
Zn -2.260 1.305 6.247
Zn -1.303 -2.255 8.682
Zn -2.604 -0.001 8.682
Zn 2.149 1.241 2.332
Zn 1.303 -2.255 8.682
Zn -1.302 2.256 8.682
Zn 2.240 -1.293 6.492
Zn 0.000 2.587 6.492
Zn 0.000 0.000 10.092
Zn 2.260 1.305 6.247
Zn 2.604 -0.001 8.682
Zn 1.302 2.256 8.682
Cr 0.000 0.000 7.345
```

---

Diffraction record for Th3Ga3Os2. The powder XRD pattern is calculated, not measured: it uses the PBE geometry in Alexandria and Cu Kα X-rays.

Top 10 peaks for 5° ≤ 2θ ≤ 70°, sorted by position:
Position (°2θ)	I (rel.)
25.76	36.3
29.95	31.0
32.06	73.9
33.99	93.4
34.48	36.9
35.84	99.8
37.28	67.5
37.79	100.0
40.89	45.6
53.50	46.9

Cell and atoms:
```
32
Lattice="7.992 0.000 0.000 0.000 15.605 0.000 0.000 0.000 5.680" Properties=species:S:1:pos:R:3 pbc="T T T"
Th 0.287 1.698 0.618
Th 0.287 6.104 0.618
Th 1.347 3.901 3.582
Th 2.649 11.704 0.742
Th 3.709 9.501 3.458
Th 3.709 13.907 3.458
Th 4.284 1.698 2.222
Th 4.284 6.104 2.222
Th 5.343 3.901 4.938
Th 6.645 11.704 2.098
Th 7.705 9.501 5.062
Th 7.705 13.907 5.062
Ga 1.381 0.530 3.422
Ga 1.381 7.273 3.422
Ga 1.403 11.704 3.550
Ga 2.593 3.901 0.710
Ga 2.615 8.332 0.582
Ga 2.615 15.075 0.582
Ga 5.377 0.530 5.098
Ga 5.377 7.273 5.098
Ga 5.399 11.704 4.970
Ga 6.589 3.901 2.130
Ga 6.611 8.332 2.258
Ga 6.611 15.075 2.258
Os 0.918 9.545 2.099
Os 0.918 13.863 2.099
Os 3.078 1.742 4.939
Os 3.078 6.060 4.939
Os 4.914 9.545 0.741
Os 4.914 13.863 0.741
Os 7.074 1.742 3.581
Os 7.074 6.060 3.581
```

---

Diffraction record for La2Sm7YCd2. The powder XRD pattern is calculated, not measured: it uses the PBE geometry in Alexandria and Cu Kα X-rays.

Top 10 peaks for 5° ≤ 2θ ≤ 70°, sorted by position:
Position (°2θ)	I (rel.)
26.79	19.3
29.84	100.0
31.10	57.2
32.15	26.5
33.53	16.1
35.13	23.7
35.33	55.2
50.83	31.6
52.49	16.4
61.54	25.3

Cell and atoms:
```
12
Lattice="3.488 -5.082 0.000 3.488 5.082 0.000 0.000 0.000 11.119" Properties=species:S:1:pos:R:3 pbc="T T T"
La 0.000 0.000 1.665
La 0.000 0.000 9.454
Sm 0.000 0.000 5.560
Sm 1.744 2.541 3.667
Sm 1.744 2.541 7.452
Sm 3.488 1.927 0.000
Sm 1.744 -2.541 3.667
Sm 1.744 -2.541 7.452
Sm 3.488 -1.927 0.000
Y 3.488 0.000 5.560
Cd 3.488 0.000 2.526
Cd 3.488 0.000 8.593
```

---

Diffraction record for LaScPd2O. The powder XRD pattern is calculated, not measured: it uses the PBE geometry in Alexandria and Cu Kα X-rays.

Top 10 peaks for 5° ≤ 2θ ≤ 70°, sorted by position:
Position (°2θ)	I (rel.)
17.35	11.9
22.13	8.1
28.26	39.5
33.35	100.0
35.12	70.6
45.14	17.1
45.68	21.2
50.52	24.3
58.45	30.9
61.89	32.7

Cell and atoms:
```
5
Lattice="5.110 0.000 0.000 0.000 5.110 0.000 0.000 0.000 4.017" Properties=species:S:1:pos:R:3 pbc="T T T"
La 0.000 0.000 0.000
Sc 2.555 2.555 2.009
Pd 0.000 2.555 2.009
Pd 2.555 0.000 2.009
O 2.555 2.555 0.000
```

---

Diffraction record for Nd2ZnGe3. The powder XRD pattern is calculated, not measured: it uses the PBE geometry in Alexandria and Cu Kα X-rays.

Top 10 peaks for 5° ≤ 2θ ≤ 70°, sorted by position:
Position (°2θ)	I (rel.)
23.98	10.8
32.25	100.0
42.10	14.3
42.22	28.4
43.27	13.2
49.06	1.1
50.07	3.0
54.03	15.2
54.15	7.6
62.02	26.6

Cell and atoms:
```
12
Lattice="0.000 4.292 7.409 4.182 0.000 7.409 4.182 4.292 0.000" Properties=species:S:1:pos:R:3 pbc="T T T"
Nd 6.333 4.292 7.409
Nd 2.091 2.146 3.705
Nd 6.274 6.438 11.114
Nd 2.032 4.292 7.409
Zn 4.182 4.292 4.946
Zn 4.182 4.292 9.873
Ge 4.182 4.292 2.514
Ge 4.182 2.211 6.159
Ge 4.182 2.211 8.660
Ge 4.182 6.374 6.159
Ge 4.182 6.374 8.660
Ge 4.182 4.292 12.305
```